[1]
Starting from a GGA-PBE-relaxed structure, the X-ray powder pattern of TbCO4 was simulated for Cu Ka.
Lines closer than 0.1° are merged.

Most intense lines, 15° ≤ 2θ ≤ 90°, sorted by position:
2θ/deg, I/Imax, index
15.68, 65, 0 1 1
19.78, 41, 0 0 2
20.89, 100, 1 0 1
24.24, 43, 1 1 1
26.44, 52, 0 2 1
29.82, 37, 1 1 2
30.78, 52, 1 2 0
32.36, 42, 0 1 3
37.45, 39, 1 1 3
46.28, 49, 2 2 1

Atomic structure:
a b c (Å): 4.829 7.273 8.979
angles (deg): 90.00 90.00 90.00
Space group P2_12_12_1 (No. 19)
Inequivalent atoms, fractional coordinates:
Tb: 0.034 0.137 0.168 [4 per cell]
C: 0.017 0.040 0.838 [4 per cell]
O: 0.027 0.829 0.143 [4 per cell]
O: 0.045 0.434 0.770 [4 per cell]
O: 0.164 0.620 0.577 [4 per cell]
O: 0.220 0.932 0.369 [4 per cell]

[2]
Starting from a GGA-PBE-relaxed structure, the X-ray powder pattern of Tb3CO2 was simulated for Cu Ka.
Lines closer than 0.1° are merged.

Most intense lines, 15° ≤ 2θ ≤ 90°, sorted by position:
2θ/deg, I/Imax, index
31.26, 100, 0 0 2
31.38, 33, 2 0 0
36.29, 98, 1 3 1
52.18, 34, 0 6 0
52.34, 34, 2 0 2
62.14, 30, 1 3 3
62.22, 15, 2 6 0
65.21, 17, 0 0 4
88.20, 10, 0 6 4
88.45, 10, 3 3 3

Atomic structure:
a b c (Å): 6.053 10.508 6.078
angles (deg): 90.00 109.65 90.00
Space group C2/c (No. 15)
Inequivalent atoms, fractional coordinates:
Tb: 0.245 0.081 0.001 [8 per cell]
Tb: 0.250 0.250 0.500 [4 per cell]
C: 0.000 0.083 0.250 [4 per cell]
O: 0.000 0.247 0.750 [4 per cell]
O: 0.000 0.416 0.250 [4 per cell]

Copy entry 1 word for word.
Starting from a GGA-PBE-relaxed structure, the X-ray powder pattern of TbCO4 was simulated for Cu Ka.
Lines closer than 0.1° are merged.

Most intense lines, 15° ≤ 2θ ≤ 90°, sorted by position:
2θ/deg, I/Imax, index
15.68, 65, 0 1 1
19.78, 41, 0 0 2
20.89, 100, 1 0 1
24.24, 43, 1 1 1
26.44, 52, 0 2 1
29.82, 37, 1 1 2
30.78, 52, 1 2 0
32.36, 42, 0 1 3
37.45, 39, 1 1 3
46.28, 49, 2 2 1

Atomic structure:
a b c (Å): 4.829 7.273 8.979
angles (deg): 90.00 90.00 90.00
Space group P2_12_12_1 (No. 19)
Inequivalent atoms, fractional coordinates:
Tb: 0.034 0.137 0.168 [4 per cell]
C: 0.017 0.040 0.838 [4 per cell]
O: 0.027 0.829 0.143 [4 per cell]
O: 0.045 0.434 0.770 [4 per cell]
O: 0.164 0.620 0.577 [4 per cell]
O: 0.220 0.932 0.369 [4 per cell]

Q: What is the formula in the second record?
A: Tb3CO2